Record 1
Diffraction record for PmNd12Dy7. The powder diffractogram is simulated, not measured: it uses a crystal structure in Alexandria, relaxed with GGA-PBE and Cu Kα X-rays.
Kinematic intensities with the Lorentz-polarization factor, no thermal factor.

Top 10 peaks for 15° ≤ 2θ ≤ 90°, by intensity:
two_theta  d/Å  Rel. int.
30.95  2.889  100
33.31  2.689  41
28.79  3.101  36
35.38  2.537  30
30.01  2.978  19
63.61  1.463  17
50.78  1.798  17
55.05  1.668  11
41.04  2.200  9
59.32  1.558  9

```
data_PmNd12Dy7
_space_group_name_H-M_alt 'R -3'
_space_group_IT_number 148
_space_group_name_Hall '-R 3'
_cell_length_a 15.2882
_cell_length_b 15.2882
_cell_length_c 10.1764
_cell_angle_alpha 90.00
_cell_angle_beta 90.00
_cell_angle_gamma 120.00
loop_
_atom_site_label
_atom_site_type_symbol
_atom_site_fract_x
_atom_site_fract_y
_atom_site_fract_z
Pm1 Pm 0.0000 0.0000 0.0000
Nd1 Nd 0.0443 0.8443 0.2516
Nd2 Nd 0.0461 0.7982 0.5762
Dy1 Dy 0.0000 0.0000 0.5000
Dy2 Dy 0.0662 0.8206 0.9257
```

Record 2
Diffraction record for Pm5Nd2Dy2. The powder diffractogram is simulated, not measured: it uses a crystal structure in Alexandria, relaxed with GGA-PBE and Cu Kα X-rays.
Kinematic intensities with the Lorentz-polarization factor, no thermal factor.

Top 10 peaks for 15° ≤ 2θ ≤ 90°, by intensity:
two_theta  d/Å  Rel. int.
30.97  2.888  100
31.57  2.834  64
30.04  2.975  27
61.02  1.518  20
45.90  1.977  12
61.35  1.511  10
44.59  2.032  10
54.66  1.679  10
42.77  2.114  9
51.17  1.785  9

```
data_Pm5Nd2Dy2
_space_group_name_H-M_alt 'C 1 2/m 1'
_space_group_IT_number 12
_cell_length_a 17.5790
_cell_length_b 3.5704
_cell_length_c 9.8874
_cell_angle_alpha 90.00
_cell_angle_beta 99.67
_cell_angle_gamma 90.00
loop_
_space_group_symop_operation_xyz
'x,y,z'
'-x,-y,-z'
'-x,y,-z'
'x,-y,z'
'x+1/2,y+1/2,z'
'-x+1/2,-y+1/2,-z'
'-x+1/2,y+1/2,-z'
'x+1/2,-y+1/2,z'
loop_
_atom_site_label
_atom_site_type_symbol
_atom_site_fract_x
_atom_site_fract_y
_atom_site_fract_z
Pm1 Pm 0.0000 0.0000 0.0000
Pm2 Pm 0.1565 0.0000 0.5392
Pm3 Pm 0.1635 0.5000 0.2198
Nd1 Nd 0.1759 0.5000 0.8769
Dy1 Dy 0.0024 0.5000 0.6685
```